For Dy3Er5Sc4, a GGA-PBE-relaxed structure gives the computed X-ray diffraction stick pattern in this record (Cu Kα).
Peak positions follow from Bragg's law for the DFT cell and can differ from measured ones.

Main lines, sorted by position (10° ≤ 2θ ≤ 80°):
d = 6.983 Å, 12.7 deg, rel. 43.4
d = 4.751 Å, 18.7 deg, rel. 46.1
d = 3.491 Å, 25.5 deg, rel. 31.2
d = 2.943 Å, 30.4 deg, rel. 66.3
d = 2.829 Å, 31.6 deg, rel. 100.0
d = 2.806 Å, 31.9 deg, rel. 67.4
d = 2.727 Å, 32.8 deg, rel. 43.2
d = 2.642 Å, 33.9 deg, rel. 73.2
d = 2.543 Å, 35.3 deg, rel. 71.9
d = 1.992 Å, 45.5 deg, rel. 52.1

Structure:
```
Dy3Er5Sc4
1.0
7.810 -2.829 0.000
7.810 2.829 0.000
-3.815 0.000 7.977
Dy Er Sc
3 5 4
Direct
0.000 0.000 0.000 Dy
0.294 0.294 0.780 Dy
0.706 0.706 0.220 Dy
0.075 0.075 0.701 Er
0.175 0.175 0.390 Er
0.500 0.500 0.000 Er
0.825 0.825 0.610 Er
0.925 0.925 0.299 Er
0.290 0.290 0.127 Sc
0.419 0.419 0.556 Sc
0.581 0.581 0.444 Sc
0.710 0.710 0.873 Sc
```

=====

For DyEr6Sc6, a GGA-PBE-relaxed structure gives the computed X-ray diffraction stick pattern in this record (Cu Kα).
Peak positions follow from Bragg's law for the DFT cell and can differ from measured ones.

Main lines, sorted by position (10° ≤ 2θ ≤ 80°):
d = 3.186 Å, 28.0 deg, rel. 100.0
d = 3.019 Å, 29.6 deg, rel. 39.2
d = 2.745 Å, 32.6 deg, rel. 70.9
d = 2.458 Å, 36.6 deg, rel. 29.6
d = 2.387 Å, 37.7 deg, rel. 20.6
d = 1.839 Å, 49.6 deg, rel. 21.3
d = 1.805 Å, 50.6 deg, rel. 22.6
d = 1.593 Å, 57.9 deg, rel. 23.1
d = 1.569 Å, 58.9 deg, rel. 33.4
d = 1.288 Å, 73.6 deg, rel. 19.5

Structure:
```
DyEr6Sc6
1.0
6.371 0.000 0.000
-3.186 5.518 0.000
0.000 0.000 10.818
Dy Er Sc
1 6 6
Direct
0.000 0.000 0.000 Dy
0.000 0.000 0.340 Er
0.000 0.000 0.660 Er
0.333 0.667 0.000 Er
0.333 0.667 0.500 Er
0.667 0.333 0.000 Er
0.667 0.333 0.500 Er
0.000 0.500 0.241 Sc
0.000 0.500 0.759 Sc
0.500 0.000 0.241 Sc
0.500 0.000 0.759 Sc
0.500 0.500 0.241 Sc
0.500 0.500 0.759 Sc
```

=====

For Dy5ErSc3, a GGA-PBE-relaxed structure gives the computed X-ray diffraction stick pattern in this record (Cu Kα).
Peak positions follow from Bragg's law for the DFT cell and can differ from measured ones.

Main lines, sorted by position (10° ≤ 2θ ≤ 80°):
d = 3.951 Å, 22.5 deg, rel. 74.9
d = 3.015 Å, 29.6 deg, rel. 53.0
d = 2.967 Å, 30.1 deg, rel. 64.9
d = 2.934 Å, 30.5 deg, rel. 34.4
d = 2.784 Å, 32.2 deg, rel. 100.0
d = 2.702 Å, 33.2 deg, rel. 46.7
d = 2.686 Å, 33.4 deg, rel. 54.6
d = 2.653 Å, 33.8 deg, rel. 47.6
d = 2.504 Å, 35.9 deg, rel. 54.6
d = 2.200 Å, 41.0 deg, rel. 40.8

Structure:
```
Dy5ErSc3
1.0
7.270 -5.567 0.000
7.270 5.567 0.000
-6.051 0.000 7.333
Dy Er Sc
10 2 6
Direct
0.108 0.614 0.260 Dy
0.222 0.222 0.235 Dy
0.245 0.755 0.000 Dy
0.282 0.282 0.967 Dy
0.386 0.892 0.740 Dy
0.614 0.108 0.260 Dy
0.718 0.718 0.033 Dy
0.755 0.245 0.000 Dy
0.778 0.778 0.765 Dy
0.892 0.386 0.740 Dy
0.246 0.246 0.597 Er
0.754 0.754 0.403 Er
0.000 0.000 0.500 Sc
0.012 0.012 0.821 Sc
0.479 0.479 0.636 Sc
0.500 0.500 0.000 Sc
0.521 0.521 0.364 Sc
0.988 0.988 0.179 Sc
```

=====

For Dy3ErSc7, a GGA-PBE-relaxed structure gives the computed X-ray diffraction stick pattern in this record (Cu Kα).
Peak positions follow from Bragg's law for the DFT cell and can differ from measured ones.

Main lines, sorted by position (10° ≤ 2θ ≤ 80°):
d = 5.353 Å, 16.6 deg, rel. 49.2
d = 3.553 Å, 25.1 deg, rel. 100.0
d = 2.722 Å, 32.9 deg, rel. 44.5
d = 2.676 Å, 33.5 deg, rel. 33.1
d = 2.609 Å, 34.4 deg, rel. 19.2
d = 2.591 Å, 34.6 deg, rel. 85.3
d = 2.571 Å, 34.9 deg, rel. 36.3
d = 1.908 Å, 47.7 deg, rel. 24.2
d = 1.545 Å, 59.9 deg, rel. 17.3
d = 1.540 Å, 60.1 deg, rel. 19.6

Structure:
```
Dy3ErSc7
1.0
-2.722 5.217 5.353
2.722 -5.217 5.353
2.722 5.217 -5.353
Dy Er Sc
3 1 7
Direct
0.000 0.000 0.000 Dy
0.212 0.500 0.712 Dy
0.788 0.500 0.288 Dy
0.500 0.000 0.500 Er
0.022 0.215 0.807 Sc
0.208 0.708 0.500 Sc
0.408 0.215 0.193 Sc
0.500 0.500 0.000 Sc
0.592 0.785 0.807 Sc
0.792 0.292 0.500 Sc
0.978 0.785 0.193 Sc
```

=====

For DyEr12Sc2, a GGA-PBE-relaxed structure gives the computed X-ray diffraction stick pattern in this record (Cu Kα).
Peak positions follow from Bragg's law for the DFT cell and can differ from measured ones.

Main lines, sorted by position (10° ≤ 2θ ≤ 80°):
d = 2.923 Å, 30.6 deg, rel. 23.5
d = 2.874 Å, 31.1 deg, rel. 16.5
d = 2.824 Å, 31.7 deg, rel. 25.8
d = 2.768 Å, 32.3 deg, rel. 49.2
d = 2.727 Å, 32.8 deg, rel. 100.0
d = 2.585 Å, 34.7 deg, rel. 29.3
d = 2.550 Å, 35.2 deg, rel. 26.6
d = 2.010 Å, 45.1 deg, rel. 17.5
d = 1.590 Å, 58.0 deg, rel. 20.9
d = 1.499 Å, 61.9 deg, rel. 15.3

Structure:
```
DyEr12Sc2
1.0
1.782 -22.989 0.000
1.782 22.989 0.000
0.000 0.000 5.536
Dy Er Sc
1 12 2
Direct
0.000 0.000 0.000 Dy
0.097 0.903 0.500 Er
0.221 0.779 0.500 Er
0.290 0.710 0.000 Er
0.340 0.660 0.500 Er
0.425 0.575 0.000 Er
0.466 0.534 0.500 Er
0.534 0.466 0.500 Er
0.575 0.425 0.000 Er
0.660 0.340 0.500 Er
0.710 0.290 0.000 Er
0.779 0.221 0.500 Er
0.903 0.097 0.500 Er
0.142 0.858 0.000 Sc
0.858 0.142 0.000 Sc
```

=====

For Dy4Er5Sc, a GGA-PBE-relaxed structure gives the computed X-ray diffraction stick pattern in this record (Cu Kα).
Peak positions follow from Bragg's law for the DFT cell and can differ from measured ones.

Main lines, sorted by position (10° ≤ 2θ ≤ 80°):
d = 2.928 Å, 30.5 deg, rel. 58.4
d = 2.895 Å, 30.9 deg, rel. 70.5
d = 2.850 Å, 31.4 deg, rel. 100.0
d = 2.799 Å, 32.0 deg, rel. 89.7
d = 2.692 Å, 33.3 deg, rel. 80.5
d = 2.386 Å, 37.7 deg, rel. 48.4
d = 2.335 Å, 38.6 deg, rel. 29.8
d = 1.592 Å, 57.9 deg, rel. 30.1
d = 1.471 Å, 63.2 deg, rel. 28.1
d = 1.464 Å, 63.6 deg, rel. 25.1

Structure:
```
Dy4Er5Sc
1.0
8.667 -1.718 0.000
8.667 1.718 0.000
-3.136 0.000 10.304
Dy Er Sc
4 5 1
Direct
0.092 0.092 0.308 Dy
0.304 0.304 0.417 Dy
0.696 0.696 0.583 Dy
0.908 0.908 0.692 Dy
0.106 0.106 0.787 Er
0.206 0.206 0.098 Er
0.500 0.500 0.000 Er
0.794 0.794 0.902 Er
0.894 0.894 0.213 Er
0.500 0.500 0.500 Sc
```

=====

For Dy3Er2Sc, a GGA-PBE-relaxed structure gives the computed X-ray diffraction stick pattern in this record (Cu Kα).
Peak positions follow from Bragg's law for the DFT cell and can differ from measured ones.

Main lines, sorted by position (10° ≤ 2θ ≤ 80°):
d = 3.807 Å, 23.4 deg, rel. 6.0
d = 2.868 Å, 31.2 deg, rel. 57.9
d = 2.723 Å, 32.9 deg, rel. 100.0
d = 2.028 Å, 44.7 deg, rel. 21.6
d = 1.837 Å, 49.6 deg, rel. 7.7
d = 1.628 Å, 56.5 deg, rel. 21.4
d = 1.625 Å, 56.6 deg, rel. 21.2
d = 1.547 Å, 59.8 deg, rel. 17.7
d = 1.361 Å, 69.0 deg, rel. 11.5
d = 1.269 Å, 74.8 deg, rel. 9.3

Structure:
```
Dy3Er2Sc
1.0
2.872 -5.510 0.000
2.872 5.510 0.000
0.000 0.000 5.728
Dy Er Sc
3 2 1
Direct
0.000 0.000 0.000 Dy
0.339 0.661 0.000 Dy
0.661 0.339 0.000 Dy
0.163 0.837 0.500 Er
0.837 0.163 0.500 Er
0.500 0.500 0.500 Sc
```

=====

For DyEr3Sc7, a GGA-PBE-relaxed structure gives the computed X-ray diffraction stick pattern in this record (Cu Kα).
Peak positions follow from Bragg's law for the DFT cell and can differ from measured ones.

Main lines, sorted by position (10° ≤ 2θ ≤ 80°):
d = 5.351 Å, 16.6 deg, rel. 50.9
d = 3.545 Å, 25.1 deg, rel. 100.0
d = 2.710 Å, 33.0 deg, rel. 44.3
d = 2.676 Å, 33.5 deg, rel. 33.2
d = 2.606 Å, 34.4 deg, rel. 18.5
d = 2.587 Å, 34.7 deg, rel. 85.5
d = 2.567 Å, 35.0 deg, rel. 39.5
d = 1.904 Å, 47.8 deg, rel. 24.2
d = 1.540 Å, 60.1 deg, rel. 17.3
d = 1.537 Å, 60.2 deg, rel. 15.9

Structure:
```
DyEr3Sc7
1.0
5.994 -5.212 0.000
5.994 5.212 0.000
-2.442 0.000 4.839
Dy Er Sc
1 3 7
Direct
0.000 0.000 0.000 Dy
0.290 0.710 0.500 Er
0.500 0.500 0.000 Er
0.710 0.290 0.500 Er
0.000 0.000 0.500 Sc
0.093 0.479 0.786 Sc
0.293 0.293 0.293 Sc
0.479 0.093 0.786 Sc
0.521 0.907 0.214 Sc
0.707 0.707 0.707 Sc
0.907 0.521 0.214 Sc
```

=====

For Dy5Er12Sc2, a GGA-PBE-relaxed structure gives the computed X-ray diffraction stick pattern in this record (Cu Kα).
Peak positions follow from Bragg's law for the DFT cell and can differ from measured ones.

Main lines, sorted by position (10° ≤ 2θ ≤ 80°):
d = 3.092 Å, 28.9 deg, rel. 50.3
d = 2.920 Å, 30.6 deg, rel. 56.3
d = 2.895 Å, 30.9 deg, rel. 59.7
d = 2.810 Å, 31.8 deg, rel. 53.6
d = 2.797 Å, 32.0 deg, rel. 41.0
d = 2.775 Å, 32.3 deg, rel. 77.5
d = 2.766 Å, 32.4 deg, rel. 100.0
d = 2.664 Å, 33.6 deg, rel. 77.6
d = 2.473 Å, 36.3 deg, rel. 45.7
d = 1.541 Å, 60.0 deg, rel. 31.3

Structure:
```
Dy5Er12Sc2
1.0
7.627 -4.545 0.000
7.627 4.545 0.000
-0.331 0.000 8.439
Dy Er Sc
5 12 2
Direct
0.000 0.000 0.000 Dy
0.231 0.231 0.069 Dy
0.295 0.295 0.477 Dy
0.705 0.705 0.523 Dy
0.769 0.769 0.931 Dy
0.034 0.672 0.264 Er
0.073 0.073 0.375 Er
0.178 0.563 0.823 Er
0.328 0.966 0.736 Er
0.437 0.822 0.177 Er
0.444 0.444 0.165 Er
0.556 0.556 0.835 Er
0.563 0.178 0.823 Er
0.672 0.034 0.264 Er
0.822 0.437 0.177 Er
0.927 0.927 0.625 Er
0.966 0.328 0.736 Er
0.332 0.668 0.500 Sc
0.668 0.332 0.500 Sc
```

=====

For DyErSc, a GGA-PBE-relaxed structure gives the computed X-ray diffraction stick pattern in this record (Cu Kα).
Peak positions follow from Bragg's law for the DFT cell and can differ from measured ones.

Main lines, sorted by position (10° ≤ 2θ ≤ 80°):
d = 3.281 Å, 27.2 deg, rel. 58.3
d = 3.123 Å, 28.6 deg, rel. 25.5
d = 3.096 Å, 28.8 deg, rel. 23.7
d = 2.830 Å, 31.6 deg, rel. 100.0
d = 2.603 Å, 34.5 deg, rel. 28.3
d = 2.545 Å, 35.3 deg, rel. 49.4
d = 2.351 Å, 38.3 deg, rel. 41.2
d = 2.275 Å, 39.6 deg, rel. 40.7
d = 1.627 Å, 56.6 deg, rel. 35.7
d = 1.443 Å, 64.6 deg, rel. 25.3

Structure:
```
DyErSc
1.0
3.356 0.000 0.000
0.000 3.372 0.000
0.000 0.000 15.615
Dy Er Sc
2 2 2
Direct
0.250 0.250 0.081 Dy
0.750 0.750 0.919 Dy
0.250 0.750 0.275 Er
0.750 0.250 0.725 Er
0.250 0.750 0.573 Sc
0.750 0.250 0.427 Sc
```

=====

For Dy5Er3Sc, a GGA-PBE-relaxed structure gives the computed X-ray diffraction stick pattern in this record (Cu Kα).
Peak positions follow from Bragg's law for the DFT cell and can differ from measured ones.

Main lines, sorted by position (10° ≤ 2θ ≤ 80°):
d = 5.562 Å, 15.9 deg, rel. 52.6
d = 4.847 Å, 18.3 deg, rel. 35.1
d = 3.182 Å, 28.0 deg, rel. 58.7
d = 3.109 Å, 28.7 deg, rel. 87.7
d = 2.931 Å, 30.5 deg, rel. 47.4
d = 2.781 Å, 32.2 deg, rel. 100.0
d = 2.685 Å, 33.4 deg, rel. 68.9
d = 2.650 Å, 33.8 deg, rel. 34.5
d = 2.569 Å, 34.9 deg, rel. 72.6
d = 2.532 Å, 35.5 deg, rel. 44.7

Structure:
```
Dy5Er3Sc
1.0
6.000 -5.562 0.000
6.000 5.562 0.000
-5.654 0.000 9.883
Dy Er Sc
10 6 2
Direct
0.007 0.007 0.374 Dy
0.069 0.581 0.203 Dy
0.178 0.178 0.954 Dy
0.217 0.783 0.000 Dy
0.419 0.931 0.797 Dy
0.581 0.069 0.203 Dy
0.783 0.217 0.000 Dy
0.822 0.822 0.046 Dy
0.931 0.419 0.797 Dy
0.993 0.993 0.626 Dy
0.181 0.181 0.241 Er
0.283 0.283 0.656 Er
0.500 0.500 0.000 Er
0.500 0.500 0.500 Er
0.717 0.717 0.344 Er
0.819 0.819 0.759 Er
0.430 0.430 0.210 Sc
0.570 0.570 0.790 Sc
```

=====

For DyEr4Sc2, a GGA-PBE-relaxed structure gives the computed X-ray diffraction stick pattern in this record (Cu Kα).
Peak positions follow from Bragg's law for the DFT cell and can differ from measured ones.

Main lines, sorted by position (10° ≤ 2θ ≤ 80°):
d = 2.942 Å, 30.4 deg, rel. 46.5
d = 2.776 Å, 32.2 deg, rel. 46.1
d = 2.766 Å, 32.4 deg, rel. 55.5
d = 2.669 Å, 33.6 deg, rel. 100.0
d = 2.611 Å, 34.3 deg, rel. 70.6
d = 2.493 Å, 36.0 deg, rel. 18.9
d = 1.735 Å, 52.8 deg, rel. 45.9
d = 1.590 Å, 58.0 deg, rel. 22.1
d = 1.470 Å, 63.3 deg, rel. 55.0
d = 1.454 Å, 64.0 deg, rel. 22.5

Structure:
```
DyEr4Sc2
1.0
1.735 1.001 19.362
-1.735 1.001 19.362
0.000 -2.003 19.362
Dy Er Sc
1 4 2
Direct
0.000 0.000 0.000 Dy
0.099 0.099 0.099 Er
0.383 0.383 0.383 Er
0.617 0.617 0.617 Er
0.901 0.901 0.901 Er
0.188 0.188 0.188 Sc
0.812 0.812 0.812 Sc
```

=====

Number 3 is which compound?
Dy5ErSc3